# Ti4CoNi
Simulated powder XRD pattern, Cu Kα. Input: DFT lattice parameters and positions (PBE).
Intensities are scaled so that the largest is 100.

Crystal structure
Cell lengths 5.962, 5.962, 5.027 Å; angles 90.00, 90.00, 90.00 degrees
Space group P4/mcc (No. 124)
Inequivalent atoms, fractional coordinates:
Ti 0.160 0.331 0.000 x8
Co 0.000 0.000 0.250 x2
Ni 0.500 0.500 0.250 x2

Peak list (10 most intense, 2θ from 10° to 90°, in order of falling intensity)
d (Å)  Rel. int.
2.356  100
1.922  60
1.885  60
2.159  59
4.216  35
1.227  25
2.108  25
1.419  17
1.282  16
1.390  14



# Ti4Co2Ni3
Simulated powder XRD pattern, Cu Kα. Input: DFT lattice parameters and positions (PBE).
Intensities are scaled so that the largest is 100.

Crystal structure
Cell lengths 7.813, 3.847, 7.913 Å; angles 90.00, 99.08, 90.00 degrees
Space group C2/m (No. 12)
Inequivalent atoms, fractional coordinates:
Ti 0.035 0.000 0.337 x4
Ti 0.161 0.500 0.882 x4
Co 0.183 0.500 0.210 x4
Ni 0.000 0.000 0.000 x2
Ni 0.159 0.500 0.548 x4

Peak list (10 most intense, 2θ from 10° to 90°, in order of falling intensity)
d (Å)  Rel. int.
2.151  100
2.138  95
2.016  39
1.924  36
1.392  21
1.682  18
1.266  13
1.191  12
1.150  11
1.148  11



# Ti6Co3Ni
Simulated powder XRD pattern, Cu Kα. Input: DFT lattice parameters and positions (PBE).
Intensities are scaled so that the largest is 100.

Crystal structure
Cell lengths 7.543, 4.154, 9.682 Å; angles 90.00, 107.92, 90.00 degrees
Space group P2_1/m (No. 11)
Inequivalent atoms, fractional coordinates:
Ti 0.011 0.250 0.119 x2
Ti 0.108 0.750 0.623 x2
Ti 0.192 0.750 0.365 x2
Ti 0.348 0.250 0.033 x2
Ti 0.430 0.250 0.762 x2
Ti 0.458 0.250 0.385 x2
Co 0.107 0.250 0.790 x2
Co 0.232 0.250 0.519 x2
Co 0.327 0.750 0.871 x2
Ni 0.225 0.750 0.131 x2

Peak list (10 most intense, 2θ from 10° to 90°, in order of falling intensity)
d (Å)  Rel. int.
2.320  100
2.076  97
2.113  65
2.091  44
1.816  40
2.159  36
1.916  34
2.469  33
1.497  21
2.454  16



# Tm2Co2Ni15
Simulated powder XRD pattern, Cu Kα. Input: DFT lattice parameters and positions (PBE).
Intensities are scaled so that the largest is 100.

Crystal structure
Cell lengths 8.2413, 8.2413, 12.0844 Å; angles 90.00, 90.00, 120.00 degrees
Space group R-3m (No. 166, hexagonal axes)
Inequivalent atoms, fractional coordinates:
Tm 0.0000 0.0000 0.1588 x6
Co 0.0000 0.0000 0.4066 x6
Ni 0.0000 0.2979 0.5000 x18
Ni 0.0000 0.5000 0.0000 x9
Ni 0.0011 0.5005 0.3449 x18

Peak list (10 most intense, 2θ from 10° to 90°, in order of falling intensity)
d (Å)  Rel. int.
2.048  100
2.060  56
2.013  44
2.379  40
2.880  38
2.306  24
1.440  23
1.453  22
1.300  19
1.834  18



Question: What is the formula in the fourth record?
Answer: Tm2Co2Ni15